[1]
The following is a theoretical PXRD pattern of Ac7Pt2Rh2. It was derived from a GGA-PBE-relaxed structure, using Cu Kα, 1.54184 Å.

Largest 8 diffraction maxima, by angle, 2θ = 10–90°:
d [Å]	I_rel
3.335	47
3.168	83
2.902	23
2.829	100
2.791	36
2.514	39
2.439	32
2.083	36

Structural model:
```
Ac7Pt2Rh2
1.0
-2.0835 8.3234 5.1081
2.0835 -8.3234 5.1081
2.0835 8.3234 -5.1081
Ac Pt Rh
7 2 2
Cartesian
0.0000 0.0000 0.0000 Ac
2.0835 6.5051 -1.3353 Ac
2.0835 3.2061 0.7977 Ac
0.0000 1.8183 3.7728 Ac
0.0000 6.3498 2.2280 Ac
0.0000 10.2970 2.2280 Ac
0.0000 5.1173 5.9059 Ac
2.0835 -4.2900 3.7603 Pt
2.0835 4.2900 3.7603 Pt
2.0835 0.0000 2.1041 Rh
0.0000 0.0000 6.3994 Rh
```

[2]
The following is a theoretical PXRD pattern of MgNpRuRh. It was derived from a GGA-PBE-relaxed structure, using Cu Kα, 1.54184 Å.

Largest 8 diffraction maxima, by angle, 2θ = 10–90°:
d [Å]	I_rel
3.765	46
2.306	100
1.966	25
1.630	17
1.496	11
1.331	35
1.153	11
1.102	9

Structural model:
```
MgNpRuRh
1.0
6.5216 0.0000 0.0000
0.0000 6.5216 0.0000
0.0000 0.0000 6.5216
Mg Np Ru Rh
4 4 4 4
Cartesian
0.0000 0.0000 0.0000 Mg
0.0000 3.2608 3.2608 Mg
3.2608 0.0000 3.2608 Mg
3.2608 3.2608 0.0000 Mg
0.0000 0.0000 3.2608 Np
0.0000 3.2608 0.0000 Np
3.2608 0.0000 0.0000 Np
3.2608 3.2608 3.2608 Np
1.6304 1.6304 4.8912 Ru
1.6304 4.8912 1.6304 Ru
4.8912 1.6304 1.6304 Ru
4.8912 4.8912 4.8912 Ru
1.6304 1.6304 1.6304 Rh
1.6304 4.8912 4.8912 Rh
4.8912 1.6304 4.8912 Rh
4.8912 4.8912 1.6304 Rh
```

[3]
The following is a theoretical PXRD pattern of Ti4BeCo3. It was derived from a GGA-PBE-relaxed structure, using Cu Kα, 1.54184 Å.

Largest 8 diffraction maxima, by angle, 2θ = 10–90°:
d [Å]	I_rel
8.397	11
2.102	100
2.094	20
1.492	6
1.482	12
1.216	11
1.213	11
1.211	11

Structural model:
```
Ti4BeCo3
1.0
2.9837 0.0000 0.0000
0.0000 4.1874 0.0000
0.0000 0.0000 8.3970
Ti Be Co
4 1 3
Cartesian
0.0000 0.0000 0.0000 Ti
0.0000 0.0000 4.1985 Ti
0.0000 2.0937 2.0900 Ti
0.0000 2.0937 6.3070 Ti
1.4919 2.0937 0.0000 Be
1.4919 0.0000 2.0476 Co
1.4919 0.0000 6.3494 Co
1.4919 2.0937 4.1985 Co
```

Copy entry 3 word for word.
The following is a theoretical PXRD pattern of Ti4BeCo3. It was derived from a GGA-PBE-relaxed structure, using Cu Kα, 1.54184 Å.

Largest 8 diffraction maxima, by angle, 2θ = 10–90°:
d [Å]	I_rel
8.397	11
2.102	100
2.094	20
1.492	6
1.482	12
1.216	11
1.213	11
1.211	11

Structural model:
```
Ti4BeCo3
1.0
2.9837 0.0000 0.0000
0.0000 4.1874 0.0000
0.0000 0.0000 8.3970
Ti Be Co
4 1 3
Cartesian
0.0000 0.0000 0.0000 Ti
0.0000 0.0000 4.1985 Ti
0.0000 2.0937 2.0900 Ti
0.0000 2.0937 6.3070 Ti
1.4919 2.0937 0.0000 Be
1.4919 0.0000 2.0476 Co
1.4919 0.0000 6.3494 Co
1.4919 2.0937 4.1985 Co
```